This entry pairs a crystal structure of HoAg2F6 with its computed powder XRD pattern. Radiation: Cu Kα, 1.54184 Å. Structure: DFT lattice parameters and positions (GGA-PBE).

Peak list (10 most intense, 2θ = 10–80°, low angle first)
h k l  Position (°2θ)  I (rel.)
2 0 -1  15.18  40
1 1 0  23.94  100
2 0 -2  24.61  70
2 0 1  29.11  55
3 1 -1  31.22  64
1 1 -2  34.50  29
3 1 1  44.10  32
0 2 0  45.38  27
5 1 -3  47.81  46
5 1 0  50.67  28

Crystal structure
Cell lengths 12.328, 3.997, 7.236 Å; angles 90.00, 125.07, 90.00 degrees
Space group C2/m (No. 12)
Unique sites:
Ho  0.000  0.000  0.000
Ag  0.176  0.000  0.632
F  0.024  0.000  0.710
F  0.112  0.500  0.036
F  0.202  0.000  0.327

This entry pairs a crystal structure of Cs4U3S10 with its computed powder XRD pattern. Radiation: Cu Kα, 1.54184 Å. Structure: DFT lattice parameters and positions (GGA-PBE).

Peak list (10 most intense, 2θ = 10–80°, low angle first)
h k l  Position (°2θ)  I (rel.)
1 0 1  17.03  17
1 0 7  23.40  100
1 1 0  23.95  57
0 0 14  32.52  17
2 0 0  34.13  43
1 1 14  40.79  20
2 1 7  41.80  45
2 0 14  47.86  23
2 2 0  49.04  16
3 1 0  55.30  14

Crystal structure
Cell lengths 5.254, 5.254, 38.546 Å; angles 90.00, 90.00, 90.00 degrees
Space group I4/mmm (No. 139)
Unique sites:
Cs  0.000  0.000  0.068
Cs  0.000  0.000  0.204
U  0.000  0.000  0.363
U  0.000  0.000  0.500
S  0.000  0.000  0.299
S  0.000  0.000  0.432
S  0.000  0.500  0.000
S  0.000  0.500  0.136

This entry pairs a crystal structure of Nd2NiBi with its computed powder XRD pattern. Radiation: Cu Kα, 1.54184 Å. Structure: DFT lattice parameters and positions (GGA-PBE).

Peak list (10 most intense, 2θ = 10–80°, low angle first)
h k l  Position (°2θ)  I (rel.)
1 0 1  23.89  14
1 0 4  29.01  100
0 1 5  31.72  17
1 1 0  41.33  41
0 1 8  41.66  32
0 2 4  51.28  21
1 1 9  57.59  11
2 1 4  67.88  18
1 1 12  68.36  11
1 2 8  75.58  11

Crystal structure
Cell lengths 4.3695, 4.3695, 21.1641 Å; angles 90.00, 90.00, 120.00 degrees
Space group R-3m (No. 166, hexagonal axes)
Unique sites:
Nd  0.0000  0.0000  0.2374
Ni  0.0000  0.0000  0.5000
Bi  0.0000  0.0000  0.0000

This entry pairs a crystal structure of MgTePt with its computed powder XRD pattern. Radiation: Cu Kα, 1.54184 Å. Structure: DFT lattice parameters and positions (GGA-PBE).

Peak list (10 most intense, 2θ = 10–80°, low angle first)
h k l  Position (°2θ)  I (rel.)
0 1 1  16.91  96
1 1 1  26.64  69
0 4 0  35.98  25
1 3 1  37.01  42
1 2 2  40.17  100
2 0 0  41.55  26
1 4 0  41.72  16
0 1 3  45.12  29
2 4 0  56.10  14
3 2 2  74.87  16

Crystal structure
Cell lengths 4.347, 9.986, 6.160 Å; angles 90.00, 90.00, 90.00 degrees
Space group Ama2 (No. 40)
Unique sites:
Mg  0.250  0.123  0.000
Te  0.250  0.156  0.535
Pt  0.250  0.398  0.765

This entry pairs a crystal structure of PrZn4Rh with its computed powder XRD pattern. Radiation: Cu Kα, 1.54184 Å. Structure: DFT lattice parameters and positions (GGA-PBE).

Peak list (10 most intense, 2θ = 10–80°, low angle first)
h k l  Position (°2θ)  I (rel.)
0 0 2  26.06  13
1 3 1  30.05  39
1 1 2  32.89  38
0 4 2  37.10  76
2 0 0  37.76  100
1 5 1  40.10  23
1 1 3  44.55  34
2 4 2  53.96  50
2 0 4  67.43  15
1 9 2  70.37  17

Crystal structure
Cell lengths 4.767, 13.741, 6.838 Å; angles 90.00, 90.00, 90.00 degrees
Space group Cmcm (No. 63)
Unique sites:
Pr  0.000  0.110  0.250
Zn  0.000  0.102  0.750
Zn  0.000  0.275  0.573
Zn  0.000  0.500  0.000
Rh  0.000  0.360  0.250

This entry pairs a crystal structure of AcDy5Y7 with its computed powder XRD pattern. Radiation: Cu Kα, 1.54184 Å. Structure: DFT lattice parameters and positions (GGA-PBE).

Peak list (10 most intense, 2θ = 10–80°, low angle first)
h k l  Position (°2θ)  I (rel.)
0 0 4  30.51  45
2 0 2  30.87  46
2 2 0  31.16  100
0 4 0  31.55  23
2 2 2  34.78  50
0 4 2  35.16  23
2 2 4  44.15  23
2 6 0  55.92  18
2 2 6  57.01  23
2 6 4  65.04  17

Crystal structure
Cell lengths 6.662, 11.344, 11.721 Å; angles 90.00, 90.00, 90.00 degrees
Space group Imm2 (No. 44)
Unique sites:
Ac  0.000  0.000  0.000
Dy  0.000  0.500  0.211
Dy  0.237  0.234  0.204
Y  0.000  0.000  0.389
Y  0.000  0.000  0.690
Y  0.000  0.326  0.454
Y  0.000  0.337  0.956
Y  0.000  0.500  0.709

This entry pairs a crystal structure of Ni3Te8Ir with its computed powder XRD pattern. Radiation: Cu Kα, 1.54184 Å. Structure: DFT lattice parameters and positions (GGA-PBE).

Peak list (10 most intense, 2θ = 10–80°, low angle first)
h k l  Position (°2θ)  I (rel.)
2 0 -1  16.60  25
2 2 0  31.12  100
2 0 -3  31.19  61
4 2 -1  42.99  31
4 0 -4  43.11  28
0 4 0  46.17  58
2 4 -3  56.79  21
6 0 -1  58.36  16
6 2 -4  58.57  17
2 2 -6  76.10  16

Crystal structure
Cell lengths 10.681, 7.857, 8.643 Å; angles 90.00, 127.92, 90.00 degrees
Space group C2/m (No. 12)
Unique sites:
Ni  0.000  0.000  0.000
Ni  0.250  0.250  0.500
Te  0.047  0.000  0.333
Te  0.049  0.500  0.340
Te  0.209  0.246  0.167
Ir  0.000  0.500  0.000

This entry pairs a crystal structure of NbCuNi6 with its computed powder XRD pattern. Radiation: Cu Kα, 1.54184 Å. Structure: DFT lattice parameters and positions (GGA-PBE).

Peak list (7 most intense, 2θ = 10–80°, low angle first)
h k l  Position (°2θ)  I (rel.)
0 2 2  24.59  1
2 2 2  35.15  1
2 4 0  43.36  100
0 4 4  50.41  31
4 0 0  50.70  15
0 8 0  74.06  9
4 4 4  74.29  18

Crystal structure
Cell lengths 7.203, 10.243, 10.239 Å; angles 90.00, 90.00, 90.00 degrees
Space group Cmmm (No. 65)
Unique sites:
Nb  0.000  0.000  0.244
Nb  0.000  0.244  0.500
Cu  0.000  0.246  0.000
Cu  0.000  0.500  0.246
Ni  0.000  0.000  0.000
Ni  0.000  0.000  0.500
Ni  0.000  0.251  0.247
Ni  0.000  0.500  0.000
Ni  0.000  0.500  0.500
Ni  0.245  0.376  0.373
Ni  0.246  0.374  0.123